Diffraction record for BC5. The powder diffraction line list is computed, not measured: it uses a cell relaxed with PBE and Cu Kα, 1.54184 Å.
Peak positions follow from Bragg's law for the DFT cell and can differ from measured ones.

Largest 6 diffraction maxima, in order of rising 2θ, 2θ from 10° to 80°:
(0 1 1), 42.94°, intensity 95
(2 0 0), 43.15°, intensity 100
(3 -2 1), 73.31°, intensity 13
(1 -3 0), 73.48°, intensity 25
(2 1 1), 73.63°, intensity 25
(3 1 -2), 74.12°, intensity 12

Atomic structure:
Unit cell a=4.451 b=4.458 c=4.462 alpha=119.90 beta=99.08 gamma=100.19
Positions (direct):
1 B 0.191 0.395 0.233
2 B 0.809 0.605 0.767
3 C 0.188 0.064 0.563
4 C 0.201 0.732 0.900
5 C 0.314 0.783 0.614
6 C 0.316 0.096 0.271
7 C 0.316 0.440 0.924
8 C 0.684 0.560 0.076
9 C 0.684 0.904 0.729
10 C 0.686 0.217 0.386
11 C 0.799 0.268 0.100
12 C 0.812 0.936 0.437